# Zr5B2Pb
Computed powder diffraction line list, a wavelength of 1.5418 Å. Input: the GGA-PBE geometry in Alexandria.
Peak positions follow from Bragg's law for the DFT cell and can differ from measured ones.

Cell and atoms:
Unit cell a=6.7330 b=6.7330 c=13.3530 alpha=90.00 beta=90.00 gamma=90.00
Space group I4/mcm (No. 140)
Symmetry-distinct sites (fractional):
Zr (0.0000, 0.0000, 0.0000) (multiplicity 4)
Zr (0.1742, 0.3258, 0.1230) (multiplicity 16)
B (0.1034, 0.3966, 0.5000) (multiplicity 8)
Pb (0.0000, 0.0000, 0.2500) (multiplicity 4)

Main lines, most intense first (2θ from 10° to 90°):
hkl  Position (°2θ)  I (rel.)
2 0 4  38.0  1000
1 1 4  32.8  744
3 1 0  42.5  605
1 1 0  18.6  461
2 1 1  30.4  459
2 2 0  37.8  340
3 3 4  65.1  327
2 1 3  36.0  320